No. 1
Structure and simulated PXRD pattern of Ce2ErSe5 (a structure optimized by DFT (GGA-PBE); Cu Ka).

Atomic structure:
```
Ce2ErSe5
1.0
8.0773 0.0000 0.0000
0.0000 12.2583 0.0000
0.0000 0.0000 4.1548
Ce Er Se
4 2 10
direct
0.0297 0.1781 0.0000
0.4703 0.6781 0.0000
0.5297 0.3219 0.0000
0.9703 0.8219 0.0000
0.0000 0.5000 0.5000
0.5000 0.0000 0.5000
0.0000 0.0000 0.5000
0.1755 0.4012 0.0000
0.1796 0.6987 0.5000
0.3204 0.1987 0.5000
0.3245 0.9012 0.0000
0.5000 0.5000 0.5000
0.6755 0.0988 0.0000
0.6796 0.8013 0.5000
0.8204 0.3013 0.5000
0.8245 0.5988 0.0000
```

Principal peaks in the range 2θ from 5° to 70°, low angle first:
two_theta, I_rel
24.41, 34
31.75, 37
34.25, 100
36.43, 39
43.57, 34
44.34, 43

=====

No. 2
Structure and simulated PXRD pattern of CaTlCl5 (a structure optimized by DFT (GGA-PBE); Cu Ka).

Atomic structure:
```
CaTlCl5
1.0
5.3382 -5.0703 0.0000
5.3382 5.0703 0.0000
-4.9194 0.0000 9.0782
Ca Tl Cl
2 2 10
direct
0.0000 0.0000 0.0000
0.0000 0.0000 0.5000
0.3934 0.6066 0.7500
0.6066 0.3934 0.2500
0.0581 0.9419 0.2500
0.2462 0.3443 0.1575
0.2493 0.6987 0.5289
0.3013 0.7507 0.9711
0.3443 0.2462 0.6575
0.6557 0.7538 0.3425
0.6987 0.2493 0.0289
0.7507 0.3013 0.4711
0.7538 0.6557 0.8425
0.9419 0.0581 0.7500
```

Principal peaks in the range 2θ from 5° to 70°, low angle first:
two_theta, I_rel
12.85, 53
13.14, 63
18.91, 86
19.29, 100
20.06, 61
24.22, 70

=====

No. 3
Structure and simulated PXRD pattern of Cs14La2S9 (a structure optimized by DFT (GGA-PBE); Cu Ka).

Atomic structure:
```
Cs14La2S9
1.0
9.9049 0.0000 0.0000
-4.9524 8.5779 0.0000
0.0000 0.0000 13.8373
Cs La S
14 2 9
direct
0.0000 0.0000 0.2490
0.0000 0.0000 0.7510
0.0503 0.6817 0.4077
0.0947 0.3959 0.0965
0.3013 0.9053 0.0965
0.3183 0.3686 0.4077
0.3686 0.0503 0.5923
0.3959 0.3013 0.9035
0.6041 0.6987 0.0965
0.6314 0.9497 0.4077
0.6817 0.6314 0.5923
0.6987 0.0947 0.9035
0.9053 0.6041 0.9035
0.9497 0.3183 0.5923
0.3333 0.6667 0.7705
0.6667 0.3333 0.2295
0.0000 0.0000 0.5000
0.0994 0.3802 0.8392
0.2807 0.9006 0.8392
0.3333 0.6667 0.5708
0.3802 0.2807 0.1608
0.6198 0.7193 0.8392
0.6667 0.3333 0.4292
0.7193 0.0994 0.1608
0.9006 0.6198 0.1608
```

Principal peaks in the range 2θ from 5° to 70°, low angle first:
two_theta, I_rel
21.88, 20
22.07, 100
28.27, 53
31.28, 39
31.55, 57
46.67, 26

=====

No. 4
Structure and simulated PXRD pattern of Tb5Ho3Er4 (a structure optimized by DFT (GGA-PBE); Cu Ka).

Atomic structure:
```
Tb5Ho3Er4
1.0
6.1030 0.0000 0.0000
-0.0157 7.0543 0.0000
-0.0092 -0.0042 8.6244
Tb Ho Er
5 3 4
direct
0.0000 0.0000 0.0000
0.3330 0.5001 0.3341
0.5002 0.2494 0.0000
0.4998 0.7506 0.0000
0.6670 0.4999 0.6659
0.0000 0.5000 0.0000
0.1665 0.2494 0.6660
0.8335 0.7506 0.3340
0.1665 0.7506 0.6658
0.3338 0.0001 0.3342
0.6662 0.9999 0.6658
0.8335 0.2494 0.3342
```

Principal peaks in the range 2θ from 5° to 70°, low angle first:
two_theta, I_rel
31.08, 100
36.04, 51
51.87, 24
51.95, 12
61.69, 18
61.77, 25